PmNpHgO6: theoretical powder X-ray diffraction pattern (copper Kα), based on the GGA-PBE geometry in Alexandria.
Lines closer than 0.1° are merged.

Largest 10 diffraction maxima, low angle first, 2θ from 15° to 90°:
d 5.085, 2θ = 17.44°, I = 255, (0 0 2)
d 3.535, 2θ = 25.19°, I = 1000, (1 0 2)
d 2.839, 2θ = 31.51°, I = 608, (1 1 0)
d 2.479, 2θ = 36.24°, I = 253, (1 1 2)
d 2.214, 2θ = 40.76°, I = 285, (2 0 2)
d 1.894, 2θ = 48.03°, I = 521, (1 1 4)
d 1.746, 2θ = 52.41°, I = 276, (2 1 2)
d 1.639, 2θ = 56.11°, I = 178, (3 0 0)
d 1.378, 2θ = 68.05°, I = 134, (3 0 4)
d 1.239, 2θ = 76.92°, I = 127, (4 -2 4)

Structure:
Unit cell a=5.678 b=5.678 c=10.170 alpha=90.00 beta=90.00 gamma=120.00
Sites, in units of the cell vectors:
1 Pm 0.000 0.000 0.000
2 Pm 0.000 0.000 0.500
3 Np 0.333 0.667 0.250
4 Np 0.667 0.333 0.750
5 Hg 0.333 0.667 0.750
6 Hg 0.667 0.333 0.250
7 O 0.050 0.365 0.134
8 O 0.050 0.685 0.366
9 O 0.315 0.365 0.366
10 O 0.315 0.950 0.134
11 O 0.365 0.050 0.634
12 O 0.365 0.315 0.866
13 O 0.635 0.685 0.134
14 O 0.635 0.950 0.366
15 O 0.685 0.050 0.866
16 O 0.685 0.635 0.634
17 O 0.950 0.315 0.634
18 O 0.950 0.635 0.866